# 1
Calculated powder X-ray diffraction pattern
Compound: TlMo2S
Radiation: Cu Kα, 1.54184 Å
Structure: a cell relaxed with GGA-PBE
Intensities are scaled so that the largest is 1000.

Top 8 peaks for 2θ = 10–80°, low angle first:
Position (°2θ), d_spacing, I_rel
23.95, 3.716, 360
27.72, 3.218, 9
39.61, 2.275, 1000
46.82, 1.940, 196
57.26, 1.609, 167
62.95, 1.476, 83
71.87, 1.314, 341
76.99, 1.239, 63

Cell and atoms:
Cell: 6.4356 6.4356 6.4356 Å, 90.00 90.00 90.00°
Space group Fm-3m (No. 225)
Unique sites:
Tl1 0.0000 0.0000 0.0000
Mo1 0.2500 0.2500 0.2500
S1 0.0000 0.0000 0.5000

# 2
Calculated powder X-ray diffraction pattern
Compound: V3MoS4
Radiation: Cu Kα, 1.54184 Å
Structure: a cell relaxed with GGA-PBE
Intensities are scaled so that the largest is 1000.

Top 10 peaks for 2θ = 10–80°, low angle first:
Position (°2θ), d_spacing, I_rel
19.74, 4.497, 398
27.56, 3.237, 465
28.55, 3.127, 320
31.82, 2.813, 401
34.98, 2.565, 1000
40.84, 2.210, 342
44.41, 2.040, 386
45.73, 1.984, 521
49.98, 1.825, 363
77.83, 1.227, 242

Cell and atoms:
Cell: 6.2453 6.4730 6.2541 Å, 90.00 90.00 90.00°
Space group Pmn2_1 (No. 31)
Unique sites:
V1 0.0000 0.2307 0.0000
V2 0.2405 0.3607 0.6308
Mo1 0.0000 0.7495 0.4963
S1 0.0000 0.0941 0.6585
S2 0.0000 0.8913 0.1445
S3 0.2412 0.3161 0.2622

# 3
Calculated powder X-ray diffraction pattern
Compound: VMoS4
Radiation: Cu Kα, 1.54184 Å
Structure: a cell relaxed with GGA-PBE
Intensities are scaled so that the largest is 1000.

Top 10 peaks for 2θ = 10–80°, low angle first:
Position (°2θ), d_spacing, I_rel
13.33, 6.641, 1000
32.73, 2.736, 148
32.91, 2.722, 95
37.05, 2.426, 426
37.71, 2.385, 206
40.02, 2.253, 73
45.49, 1.994, 110
48.59, 1.874, 86
49.66, 1.836, 169
57.93, 1.592, 159

Cell and atoms:
Cell: 13.4625 3.1834 5.5172 Å, 90.00 99.40 90.00°
Space group C2/m (No. 12)
Unique sites:
V1 0.0000 0.0000 0.0000
Mo1 0.0000 0.5000 0.5000
S1 0.1139 0.5000 0.8870
S2 0.1164 0.0000 0.3715

# 4
Calculated powder X-ray diffraction pattern
Compound: VMo3S4
Radiation: Cu Kα, 1.54184 Å
Structure: a cell relaxed with GGA-PBE
Intensities are scaled so that the largest is 1000.

Top 10 peaks for 2θ = 10–80°, low angle first:
Position (°2θ), d_spacing, I_rel
15.94, 5.558, 1000
18.68, 4.751, 488
19.52, 4.548, 406
34.22, 2.620, 309
37.30, 2.411, 470
37.49, 2.399, 752
40.80, 2.212, 908
41.33, 2.185, 884
44.65, 2.030, 723
54.70, 1.678, 384

Cell and atoms:
Cell: 7.9125 5.5585 5.9419 Å, 90.00 90.00 90.00°
Space group Pmn2_1 (No. 31)
Unique sites:
V1 0.0000 0.0128 0.0000
Mo1 0.0000 0.2815 0.3696
Mo2 0.1855 0.4962 0.0307
S1 0.0000 0.3302 0.7632
S2 0.0000 0.6943 0.2887
S3 0.2194 0.8386 0.7747

# 5
Calculated powder X-ray diffraction pattern
Compound: MoW3S8
Radiation: Cu Kα, 1.54184 Å
Structure: a cell relaxed with GGA-PBE
Intensities are scaled so that the largest is 1000.

Top 10 peaks for 2θ = 10–80°, low angle first:
Position (°2θ), d_spacing, I_rel
12.33, 7.181, 1000
32.41, 2.763, 141
33.02, 2.713, 180
34.80, 2.578, 131
37.59, 2.393, 363
45.56, 1.991, 202
47.94, 1.898, 82
57.81, 1.595, 101
59.36, 1.557, 106
71.04, 1.327, 89

Cell and atoms:
Cell: 3.1899 3.1899 28.7232 Å, 90.00 90.00 120.00°
Space group P3m1 (No. 156)
Unique sites:
Mo1 0.0000 0.0000 0.0000
W1 0.0000 0.0000 0.4805
W2 0.3333 0.6667 0.2413
W3 0.3333 0.6667 0.7225
S1 0.0000 0.0000 0.1866
S2 0.0000 0.0000 0.2960
S3 0.0000 0.0000 0.6678
S4 0.0000 0.0000 0.7773
S5 0.3333 0.6667 0.0545
S6 0.3333 0.6667 0.4257
S7 0.3333 0.6667 0.5352
S8 0.3333 0.6667 0.9455

# 6
Calculated powder X-ray diffraction pattern
Compound: Mo2WS5
Radiation: Cu Kα, 1.54184 Å
Structure: a cell relaxed with GGA-PBE
Intensities are scaled so that the largest is 1000.

Top 10 peaks for 2θ = 10–80°, low angle first:
Position (°2θ), d_spacing, I_rel
15.66, 5.660, 1000
16.45, 5.389, 241
17.59, 5.043, 936
18.91, 4.692, 227
26.06, 3.419, 213
29.61, 3.017, 295
30.99, 2.886, 289
40.95, 2.204, 341
42.72, 2.116, 289
46.97, 1.935, 300

Cell and atoms:
Cell: 10.9289 6.8377 5.8396 Å, 90.00 112.64 90.00°
Space group Cm (No. 8)
Unique sites:
Mo1 0.0000 0.0000 0.0000
Mo2 0.1001 0.5000 0.5924
W1 0.4927 0.5000 0.5163
S1 0.0022 0.2589 0.2650
S2 0.1352 0.2112 0.8489
S3 0.3143 0.5000 0.6344